Record 1
For TmAg2Cl5, a crystal structure in Alexandria, relaxed with GGA-PBE gives the theoretical powder diffractogram in this record (Cu Kα).
Intensities are scaled so that the largest is 100.

Structural model:
```
TmAg2Cl5
1.0
5.274 0.000 0.000
2.381 6.865 0.000
2.417 -0.030 6.960
Tm Ag Cl
1 2 5
Direct
0.000 0.000 0.000
0.499 0.501 0.996
0.502 0.999 0.500
0.038 0.683 0.205
0.246 0.786 0.687
0.501 0.000 0.999
0.756 0.213 0.312
0.962 0.316 0.793
```

Principal peaks in the range 2θ from 10° to 80°, sorted by position:
2θ (°)  d [Å]  I/Imax
12.72  6.960  61
12.90  6.865  56
19.13  4.640  48
19.54  4.543  100
25.95  3.433  32
26.20  3.402  49
36.70  2.449  33
36.86  2.438  38


Record 2
For UAg3Cl9, a crystal structure in Alexandria, relaxed with GGA-PBE gives the theoretical powder diffractogram in this record (Cu Kα).
Intensities are scaled so that the largest is 100.

Structural model:
```
UAg3Cl9
1.0
9.593 -5.069 0.000
9.593 5.069 0.000
-7.963 0.000 9.535
U Ag Cl
2 6 18
Direct
0.236 0.764 0.500
0.764 0.236 0.000
0.126 0.646 0.000
0.190 0.603 0.776
0.218 0.286 0.994
0.286 0.218 0.494
0.603 0.190 0.276
0.646 0.126 0.500
0.047 0.194 0.158
0.063 0.451 0.541
0.132 0.840 0.300
0.194 0.047 0.658
0.275 0.479 0.337
0.282 0.756 0.022
0.341 0.687 0.700
0.451 0.063 0.041
0.479 0.275 0.837
0.502 0.979 0.438
0.510 0.718 0.550
0.687 0.341 0.200
0.718 0.510 0.050
0.756 0.282 0.522
0.805 0.962 0.950
0.840 0.132 0.800
0.962 0.805 0.450
0.979 0.502 0.938
```

Principal peaks in the range 2θ from 10° to 80°, sorted by position:
2θ (°)  d [Å]  I/Imax
12.02  7.363  68
16.49  5.374  100
17.50  5.069  53
18.61  4.767  49
18.77  4.728  44
21.28  4.175  71
23.20  3.833  44
36.82  2.441  41


Record 3
For UAg5Cl12, a crystal structure in Alexandria, relaxed with GGA-PBE gives the theoretical powder diffractogram in this record (Cu Kα).
Intensities are scaled so that the largest is 100.

Structural model:
```
UAg5Cl12
1.0
6.612 0.000 0.000
-2.739 6.173 0.000
-2.768 -1.376 12.563
U Ag Cl
1 5 12
Direct
0.000 0.000 0.000
0.168 0.333 0.507
0.242 0.997 0.743
0.500 0.000 0.500
0.758 0.003 0.257
0.832 0.667 0.493
0.033 0.319 0.114
0.142 0.016 0.379
0.182 0.660 0.621
0.250 0.269 0.892
0.353 0.004 0.123
0.491 0.705 0.375
0.509 0.295 0.625
0.647 0.996 0.877
0.750 0.731 0.108
0.818 0.340 0.379
0.858 0.984 0.621
0.967 0.681 0.886
```

Principal peaks in the range 2θ from 10° to 80°, sorted by position:
2θ (°)  d [Å]  I/Imax
14.10  6.281  56
14.43  6.136  95
18.12  4.894  69
18.27  4.857  48
29.34  3.044  100
33.77  2.655  71
33.95  2.640  73
45.17  2.007  30


Record 4
For V2AgCl6, a crystal structure in Alexandria, relaxed with GGA-PBE gives the theoretical powder diffractogram in this record (Cu Kα).
Intensities are scaled so that the largest is 100.

Structural model:
```
V2AgCl6
1.0
6.239 0.000 0.000
-3.120 5.403 0.000
0.000 0.000 6.071
V Ag Cl
2 1 6
Direct
0.333 0.667 0.000
0.667 0.333 0.000
0.000 0.000 0.500
0.000 0.359 0.226
0.000 0.641 0.774
0.359 0.000 0.226
0.359 0.359 0.774
0.641 0.000 0.774
0.641 0.641 0.226
```

Principal peaks in the range 2θ from 10° to 80°, sorted by position:
2θ (°)  d [Å]  I/Imax
22.02  4.036  100
32.26  2.775  45
36.40  2.468  24
41.51  2.176  65
46.94  1.936  26
50.68  1.801  28
63.99  1.455  11
67.51  1.387  13


Record 5
For YAgCl6, a crystal structure in Alexandria, relaxed with GGA-PBE gives the theoretical powder diffractogram in this record (Cu Kα).
Intensities are scaled so that the largest is 100.

Structural model:
```
YAgCl6
1.0
5.815 0.000 0.000
0.083 6.968 0.000
2.294 3.014 5.937
Y Ag Cl
1 1 6
Direct
0.000 0.000 0.000
0.500 0.500 0.000
0.017 0.207 0.594
0.287 0.386 0.818
0.408 0.853 0.817
0.592 0.147 0.183
0.713 0.614 0.182
0.983 0.793 0.406
```

Principal peaks in the range 2θ from 10° to 80°, sorted by position:
2θ (°)  d [Å]  I/Imax
14.92  5.937  80
19.98  4.443  100
23.31  3.815  21
24.65  3.611  46
25.86  3.445  26
38.30  2.350  23
42.04  2.149  18
43.06  2.101  20


Record 6
For ZnAg2Cl6, a crystal structure in Alexandria, relaxed with GGA-PBE gives the theoretical powder diffractogram in this record (Cu Kα).
Intensities are scaled so that the largest is 100.

Structural model:
```
ZnAg2Cl6
1.0
5.508 -9.299 0.000
5.508 9.299 0.000
-2.057 0.000 4.695
Zn Ag Cl
2 4 12
Direct
0.175 0.825 0.750
0.825 0.175 0.250
0.256 0.476 0.381
0.476 0.256 0.881
0.524 0.744 0.119
0.744 0.524 0.619
0.042 0.218 0.154
0.113 0.633 0.366
0.218 0.042 0.654
0.294 0.485 0.901
0.367 0.887 0.134
0.485 0.294 0.401
0.515 0.706 0.599
0.633 0.113 0.866
0.706 0.515 0.099
0.782 0.958 0.346
0.887 0.367 0.634
0.958 0.782 0.846
```

Principal peaks in the range 2θ from 10° to 80°, sorted by position:
2θ (°)  d [Å]  I/Imax
19.09  4.649  92
21.20  4.191  100
25.52  3.490  66
26.11  3.413  50
35.10  2.557  38
35.59  2.522  36
46.01  1.972  38
46.41  1.957  40


Record 7
For CoAg3, a crystal structure in Alexandria, relaxed with GGA-PBE gives the theoretical powder diffractogram in this record (Cu Kα).
Intensities are scaled so that the largest is 100.

Structural model:
```
CoAg3
1.0
1.518 -2.300 0.000
1.518 2.300 0.000
0.000 0.000 9.383
Co Ag
1 3
Direct
0.000 0.000 0.000
0.000 0.000 0.500
0.500 0.500 0.235
0.500 0.500 0.765
```

Principal peaks in the range 2θ from 10° to 80°, sorted by position:
2θ (°)  d [Å]  I/Imax
38.37  2.346  27
39.16  2.300  28
40.45  2.230  100
55.99  1.642  17
70.80  1.331  15
71.84  1.314  17
74.43  1.275  7
74.94  1.267  8


Record 8
For Co3Ag4, a crystal structure in Alexandria, relaxed with GGA-PBE gives the theoretical powder diffractogram in this record (Cu Kα).
Intensities are scaled so that the largest is 100.

Structural model:
```
Co3Ag4
1.0
-1.390 1.390 13.591
1.390 -1.390 13.591
1.390 1.390 -13.591
Co Ag
3 4
Direct
0.000 0.000 0.000
0.274 0.274 0.000
0.726 0.726 0.000
0.153 0.153 0.000
0.429 0.429 0.000
0.571 0.571 0.000
0.847 0.847 0.000
```

Principal peaks in the range 2θ from 10° to 80°, sorted by position:
2θ (°)  d [Å]  I/Imax
33.72  2.658  10
36.29  2.475  6
39.87  2.261  100
46.17  1.966  35
46.79  1.942  10
67.36  1.390  10
67.84  1.381  12
74.60  1.272  6